Simulated PXRD pattern of Tb4Pr3Sc for Cu Kα, 1.54184 Å, from a DFT-relaxed cell (GGA-PBE, Alexandria).

Largest 8 diffraction maxima, sorted by position, 2θ from 10° to 80°:
2θ (°), I_rel
30.0, 39
30.5, 100
31.7, 89
33.0, 21
36.5, 23
37.2, 23
55.0, 20
62.3, 26

Crystal structure
Cell: 3.5074 11.7093 12.8828 Å, 90.00 90.00 90.00°
Fractional positions:
1 Tb 0.0000 0.2424 0.1332
2 Tb 0.0000 0.2424 0.8668
3 Tb 0.0000 0.7576 0.1332
4 Tb 0.0000 0.7576 0.8668
5 Tb 0.5000 0.2576 0.3668
6 Tb 0.5000 0.2576 0.6332
7 Tb 0.5000 0.7424 0.3668
8 Tb 0.5000 0.7424 0.6332
9 Pr 0.0000 0.0000 0.5000
10 Pr 0.0000 0.5000 0.2610
11 Pr 0.0000 0.5000 0.7390
12 Pr 0.5000 0.0000 0.2390
13 Pr 0.5000 0.0000 0.7610
14 Pr 0.5000 0.5000 0.0000
15 Sc 0.0000 0.0000 0.0000
16 Sc 0.5000 0.5000 0.5000